Record 1
Computed PXRD pattern of ZrO2 for Cu Kα (weighted mean of Kα1 and Kα2), from a crystal structure in the Materials Project, relaxed with GGA-PBE.
Intensities are scaled so that the largest is 100.

Cell and atoms:
abc: 7.7598 3.4808 5.5055
angles: 90.00 90.00 90.00
Space group Pnma (No. 62)
Inequivalent atoms, fractional coordinates:
1 Zr 0.1717 0.2500 0.1359 [4 per cell]
2 O 0.1087 0.7500 0.8851 [4 per cell]
3 O 0.1447 0.7500 0.3598 [4 per cell]

Largest 6 diffraction maxima, most intense first, 2θ from 15° to 90°:
hkl 1 1 1, 2θ 32.5, d 2.751, I = 100
hkl 0 1 1, 2θ 30.4, d 2.942, I = 93
hkl 3 1 2, 2θ 55.4, d 1.658, I = 91
hkl 2 0 1, 2θ 28.1, d 3.171, I = 89
hkl 1 0 2, 2θ 34.6, d 2.593, I = 75
hkl 1 0 1, 2θ 19.8, d 4.490, I = 62

Record 2
Computed PXRD pattern of ZrO2 for Cu Kα (weighted mean of Kα1 and Kα2), from a crystal structure in the Materials Project, relaxed with GGA-PBE.
Intensities are scaled so that the largest is 100.

Cell and atoms:
abc: 5.1636 10.2140 5.3351
angles: 90.00 90.00 90.00
Space group Pbca (No. 61)
Inequivalent atoms, fractional coordinates:
1 Zr 0.2477 0.1155 0.0349 [8 per cell]
2 O 0.0016 0.0217 0.7388 [8 per cell]
3 O 0.1251 0.7112 0.3723 [8 per cell]

Largest 6 diffraction maxima, most intense first, 2θ from 15° to 90°:
hkl 1 2 1, 2θ 29.8, d 3.002, I = 100
hkl 2 4 0, 2θ 50.3, d 1.816, I = 16
hkl 2 0 2, 2θ 49.1, d 1.855, I = 16
hkl 3 2 1, 2θ 59.2, d 1.560, I = 16
hkl 1 6 1, 2θ 59.8, d 1.547, I = 15
hkl 0 4 2, 2θ 49.4, d 1.845, I = 14

Record 3
Computed PXRD pattern of Os for Cu Kα (weighted mean of Kα1 and Kα2), from a crystal structure in the Materials Project, relaxed with GGA-PBE.
Intensities are scaled so that the largest is 100.

Cell and atoms:
abc: 2.7585 2.7585 4.3568
angles: 90.00 90.00 120.00
Space group P6_3/mmc (No. 194)
Inequivalent atoms, fractional coordinates:
1 Os 0.3333 0.6667 0.2500 [2 per cell]

Largest 6 diffraction maxima, most intense first, 2θ from 15° to 90°:
hkl 1 0 1, 2θ 43.2, d 2.095, I = 100
hkl 0 0 2, 2θ 41.5, d 2.178, I = 25
hkl 1 0 0, 2θ 37.7, d 2.389, I = 24
hkl 1 1 2, 2θ 82.8, d 1.165, I = 21
hkl 1 0 3, 2θ 76.8, d 1.241, I = 19
hkl 1 1 0, 2θ 68.0, d 1.379, I = 18

What did the second record say?
Computed PXRD pattern of ZrO2 for Cu Kα (weighted mean of Kα1 and Kα2), from a crystal structure in the Materials Project, relaxed with GGA-PBE.
Intensities are scaled so that the largest is 100.

Cell and atoms:
abc: 5.1636 10.2140 5.3351
angles: 90.00 90.00 90.00
Space group Pbca (No. 61)
Inequivalent atoms, fractional coordinates:
1 Zr 0.2477 0.1155 0.0349 [8 per cell]
2 O 0.0016 0.0217 0.7388 [8 per cell]
3 O 0.1251 0.7112 0.3723 [8 per cell]

Largest 6 diffraction maxima, most intense first, 2θ from 15° to 90°:
hkl 1 2 1, 2θ 29.8, d 3.002, I = 100
hkl 2 4 0, 2θ 50.3, d 1.816, I = 16
hkl 2 0 2, 2θ 49.1, d 1.855, I = 16
hkl 3 2 1, 2θ 59.2, d 1.560, I = 16
hkl 1 6 1, 2θ 59.8, d 1.547, I = 15
hkl 0 4 2, 2θ 49.4, d 1.845, I = 14

Which formula does entry 3 have?
Os